[1]
Simulated powder diffractogram
Compound: Ba2V2CuF12
Radiation: CuKα
Structure: a crystal structure in the Materials Project, relaxed with GGA+U
Neutral-atom scattering factors, no anomalous dispersion.

Structure:
a b c (Å): 5.4787 7.0253 7.5275
angles (deg): 65.50 70.33 73.17
Space group P1 (No. 1)
Asymmetric unit:
Ba: 0.0000 0.0000 0.0000 [1 per cell]
Ba: 0.4180 0.5938 0.5242 [1 per cell]
V: 0.1954 0.2976 0.2696 [1 per cell]
V: 0.7559 0.5769 0.9280 [1 per cell]
Cu: 0.6497 0.0257 0.5928 [1 per cell]
F: 0.0913 0.4070 0.0046 [1 per cell]
F: 0.1709 0.5863 0.2525 [1 per cell]
F: 0.2358 0.0160 0.2675 [1 per cell]
F: 0.2864 0.1919 0.5285 [1 per cell]
F: 0.4518 0.7425 0.8210 [1 per cell]
F: 0.5288 0.1404 0.7994 [1 per cell]
F: 0.5800 0.3158 0.1084 [1 per cell]
F: 0.6809 0.7047 0.1261 [1 per cell]
F: 0.7248 0.8929 0.4049 [1 per cell]
F: 0.8194 0.2958 0.4099 [1 per cell]
F: 0.8801 0.4492 0.7254 [1 per cell]
F: 0.9608 0.8155 0.7338 [1 per cell]

Top 10 peaks for 10° ≤ 2θ ≤ 80°, low angle first:
| 2theta | d (Å) | Rel. int. | (hkl) |
| --- | --- | --- | --- |
| 24.37 | 3.653 | 36 | 1 -1 0 |
| 24.58 | 3.622 | 100 | 1 0 -1 |
| 25.30 | 3.520 | 79 | 1 1 2 |
| 27.06 | 3.295 | 40 | 1 2 1 |
| 28.19 | 3.165 | 50 | 1 -1 1 |
| 32.88 | 2.724 | 49 | 2 1 1 |
| 39.17 | 2.300 | 54 | 1 2 -1 |
| 40.24 | 2.241 | 43 | 1 0 3 |
| 40.79 | 2.212 | 39 | 0 2 3 |
| 41.60 | 2.171 | 40 | 2 -1 1 |

=====

[2]
Simulated powder diffractogram
Compound: Li9Mn2Co5O16
Radiation: CuKα
Structure: a crystal structure in the Materials Project, relaxed with GGA+U
Neutral-atom scattering factors, no anomalous dispersion.

Structure:
a b c (Å): 2.9607 9.9451 10.1984
angles (deg): 107.01 90.55 91.32
Space group P-1 (No. 2)
Asymmetric unit:
Li: 0.0000 0.0000 0.0000 [1 per cell]
Li: 0.0018 0.7472 0.2413 [2 per cell]
Li: 0.0037 0.2477 0.2388 [2 per cell]
Li: 0.4925 0.0031 0.7716 [2 per cell]
Li: 0.4937 0.5029 0.7614 [2 per cell]
Mn: 0.0000 0.0000 0.5000 [1 per cell]
Mn: 0.0000 0.5000 0.5000 [1 per cell]
Co: 0.0000 0.5000 0.0000 [1 per cell]
Co: 0.4995 0.7631 0.0028 [2 per cell]
Co: 0.5004 0.2496 0.4986 [2 per cell]
O: 0.0006 0.8699 0.1212 [2 per cell]
O: 0.0061 0.6162 0.8835 [2 per cell]
O: 0.0124 0.8625 0.6055 [2 per cell]
O: 0.0127 0.3612 0.6047 [2 per cell]
O: 0.4768 0.6198 0.6107 [2 per cell]
O: 0.4835 0.1203 0.6080 [2 per cell]
O: 0.4898 0.6268 0.1133 [2 per cell]
O: 0.4969 0.1408 0.1202 [2 per cell]

Top 10 peaks for 10° ≤ 2θ ≤ 80°, low angle first:
| 2theta | d (Å) | Rel. int. | (hkl) |
| --- | --- | --- | --- |
| 18.20 | 4.875 | 100 | 0 0 2 |
| 35.29 | 2.543 | 15 | 1 -2 0 |
| 36.18 | 2.482 | 13 | 1 2 0 |
| 36.90 | 2.436 | 15 | 0 4 -2 |
| 37.84 | 2.378 | 7 | 0 4 0 |
| 42.35 | 2.134 | 29 | -1 2 2 |
| 43.59 | 2.076 | 26 | 1 2 2 |
| 44.79 | 2.023 | 24 | 0 4 -4 |
| 62.01 | 1.497 | 7 | 0 4 4 |
| 62.84 | 1.479 | 15 | 2 0 0 |

=====

[3]
Simulated powder diffractogram
Compound: Gd3YFe4O12
Radiation: CuKα
Structure: a crystal structure in the Materials Project, relaxed with GGA+U
Neutral-atom scattering factors, no anomalous dispersion.

Structure:
a b c (Å): 5.3906 7.7454 5.6608
angles (deg): 90.00 90.01 90.00
Space group Pm (No. 6)
Asymmetric unit:
Gd: 0.0000 0.0000 0.0000 [1 per cell]
Gd: 0.0342 0.5000 0.1277 [1 per cell]
Gd: 0.5338 0.0000 0.5010 [1 per cell]
Y: 0.5006 0.5000 0.6285 [1 per cell]
Fe: 0.0170 0.2512 0.5632 [2 per cell]
Fe: 0.5172 0.2511 0.0636 [2 per cell]
O: 0.1248 0.0000 0.6032 [1 per cell]
O: 0.2130 0.3074 0.8654 [2 per cell]
O: 0.3242 0.3080 0.3688 [2 per cell]
O: 0.4079 0.0000 0.1027 [1 per cell]
O: 0.6260 0.5000 0.0200 [1 per cell]
O: 0.7115 0.1949 0.7604 [2 per cell]
O: 0.8224 0.1939 0.2603 [2 per cell]
O: 0.9031 0.5000 0.5240 [1 per cell]

Top 10 peaks for 10° ≤ 2θ ≤ 80°, low angle first:
| 2theta | d (Å) | Rel. int. | (hkl) |
| --- | --- | --- | --- |
| 22.78 | 3.904 | 14 | 1 0 -1 |
| 25.55 | 3.486 | 19 | 1 1 1 |
| 31.61 | 2.830 | 19 | 0 0 2 |
| 32.57 | 2.749 | 100 | 1 2 -1 |
| 33.24 | 2.695 | 24 | 2 0 0 |
| 46.53 | 1.952 | 19 | 2 0 -2 |
| 46.92 | 1.936 | 14 | 0 4 0 |
| 48.07 | 1.893 | 12 | 2 1 2 |
| 52.74 | 1.736 | 20 | 1 1 3 |
| 58.97 | 1.566 | 22 | 3 2 -1 |

=====

[4]
Simulated powder diffractogram
Compound: LiFeP2H2O6
Radiation: CuKα
Structure: a crystal structure in the Materials Project, relaxed with GGA+U
Neutral-atom scattering factors, no anomalous dispersion.

Structure:
a b c (Å): 10.7420 10.7420 10.1276
angles (deg): 90.00 90.00 90.00
Space group I-42d (No. 122)
Asymmetric unit:
Li: 0.0629 0.2500 0.1250 [8 per cell]
Fe: 0.2184 0.7500 0.1250 [8 per cell]
P: 0.0526 0.7497 0.4005 [16 per cell]
H: 0.0625 0.6202 0.8402 [16 per cell]
O: 0.0743 0.7120 0.2546 [16 per cell]
O: 0.0776 0.2127 0.8028 [16 per cell]
O: 0.1551 0.6913 0.4879 [16 per cell]

Top 10 peaks for 10° ≤ 2θ ≤ 80°, low angle first:
| 2theta | d (Å) | Rel. int. | (hkl) |
| --- | --- | --- | --- |
| 16.50 | 5.371 | 100 | 2 0 0 |
| 21.09 | 4.213 | 20 | 1 1 2 |
| 24.15 | 3.684 | 40 | 2 0 2 |
| 26.23 | 3.397 | 17 | 3 1 0 |
| 31.72 | 2.821 | 38 | 3 1 2 |
| 32.41 | 2.762 | 10 | 2 1 3 |
| 33.36 | 2.686 | 14 | 4 0 0 |
| 39.80 | 2.265 | 19 | 3 3 2 |
| 43.90 | 2.063 | 12 | 4 1 3 |
| 49.48 | 1.842 | 10 | 4 0 4 |

=====

[5]
Simulated powder diffractogram
Compound: Li4Mn5Te3O16
Radiation: CuKα
Structure: a crystal structure in the Materials Project, relaxed with GGA+U
Neutral-atom scattering factors, no anomalous dispersion.

Structure:
a b c (Å): 6.2761 6.2822 9.9865
angles (deg): 89.58 89.39 60.19
Space group P1 (No. 1)
Asymmetric unit:
Li: 0.0000 0.0000 0.0000 [1 per cell]
Li: 0.0076 0.9953 0.4912 [1 per cell]
Li: 0.3498 0.3336 0.3671 [1 per cell]
Li: 0.6950 0.6683 0.8928 [1 per cell]
Mn: 0.1722 0.1570 0.7107 [1 per cell]
Mn: 0.3185 0.3112 0.0031 [1 per cell]
Mn: 0.3377 0.8238 0.2105 [1 per cell]
Mn: 0.6456 0.6590 0.4854 [1 per cell]
Mn: 0.8329 0.3285 0.2104 [1 per cell]
Te: 0.1741 0.6487 0.7136 [1 per cell]
Te: 0.6653 0.1600 0.7115 [1 per cell]
Te: 0.8325 0.8230 0.2111 [1 per cell]
O: 0.0478 0.4734 0.8395 [1 per cell]
O: 0.1389 0.6840 0.1017 [1 per cell]
O: 0.1537 0.1378 0.1108 [1 per cell]
O: 0.3124 0.8332 0.5912 [1 per cell]
O: 0.3692 0.3121 0.5968 [1 per cell]
O: 0.5126 0.0281 0.8281 [1 per cell]
O: 0.5130 0.4587 0.8259 [1 per cell]
O: 0.5251 0.5194 0.3126 [1 per cell]
O: 0.5332 0.9600 0.3216 [1 per cell]
O: 0.6871 0.6760 0.0976 [1 per cell]
O: 0.6910 0.1286 0.1031 [1 per cell]
O: 0.8146 0.8634 0.5990 [1 per cell]
O: 0.8207 0.2979 0.5985 [1 per cell]
O: 0.9678 0.5275 0.3246 [1 per cell]
O: 0.9686 0.0107 0.8167 [1 per cell]
O: 0.9850 0.9756 0.3119 [1 per cell]

Top 10 peaks for 10° ≤ 2θ ≤ 80°, low angle first:
| 2theta | d (Å) | Rel. int. | (hkl) |
| --- | --- | --- | --- |
| 16.31 | 5.436 | 24 | 1 1 0 |
| 17.76 | 4.993 | 100 | 0 0 2 |
| 18.52 | 4.791 | 79 | 1 1 1 |
| 24.10 | 3.693 | 22 | 1 1 2 |
| 33.59 | 2.668 | 23 | 1 2 2 |
| 34.09 | 2.630 | 54 | 0 2 -1 |
| 34.30 | 2.614 | 17 | 2 2 -1 |
| 37.53 | 2.397 | 19 | 2 0 2 |
| 42.77 | 2.114 | 35 | 2 2 3 |
| 58.83 | 1.570 | 24 | 2 4 0 |